The following is a theoretical XRD peak list of Rb3P3O10. It was derived from a PBE-relaxed structure, using Cu Kα, 1.54184 Å.
Intensities are scaled so that the largest is 100.

Unit cell a=7.7945 b=7.8767 c=10.3180 alpha=86.00 beta=68.65 gamma=83.88
Positions (direct):
1 Rb 0.2091 0.3790 0.1166
2 Rb 0.2564 0.9056 0.8454
3 Rb 0.2746 0.2370 0.5020
4 Rb 0.7254 0.7630 0.4980
5 Rb 0.7436 0.0944 0.1546
6 Rb 0.7909 0.6210 0.8834
7 P 0.2073 0.7485 0.5041
8 P 0.2386 0.9181 0.2329
9 P 0.4983 0.3714 0.7558
10 P 0.5017 0.6286 0.2442
11 P 0.7614 0.0819 0.7671
12 P 0.7927 0.2515 0.4959
13 O 0.0137 0.2909 0.9083
14 O 0.0519 0.6574 0.6043
15 O 0.1049 0.9475 0.1564
16 O 0.1254 0.8521 0.3910
17 O 0.3135 0.8623 0.5510
18 O 0.3461 0.2697 0.7550
19 O 0.3489 0.0626 0.2322
20 O 0.3532 0.6033 0.4021
21 O 0.3725 0.7465 0.1704
22 O 0.4575 0.5409 0.8224
23 O 0.5425 0.4591 0.1776
24 O 0.6275 0.2535 0.8296
25 O 0.6468 0.3967 0.5979
26 O 0.6511 0.9374 0.7678
27 O 0.6539 0.7303 0.2450
28 O 0.6865 0.1377 0.4490
29 O 0.8746 0.1479 0.6090
30 O 0.8951 0.0525 0.8436
31 O 0.9481 0.3426 0.3957
32 O 0.9863 0.7091 0.0917

Principal peaks in the range 15° ≤ 2θ ≤ 90°, in order of rising 2θ:
2θ (°)	d (Å)	I (rel.)	(hkl)
24.6	3.612	100.0	2 0 0
24.9	3.577	76.5	1 2 0
26.3	3.395	68.6	2 1 2
26.8	3.322	31.5	1 -2 0
27.2	3.282	37.7	1 -2 1
27.9	3.202	79.3	0 0 3
28.0	3.191	32.7	1 1 -2
29.9	2.992	41.5	2 0 3
32.2	2.778	21.4	-2 1 1
35.9	2.500	22.0	0 3 -1
38.3	2.352	35.6	3 -1 2
48.9	1.864	21.1	3 3 3